Record 1
# KLiW3O9
Computed X-ray powder pattern, Cu Kα (weighted mean of Kα1 and Kα2). Input: a crystal structure in the Materials Project, relaxed with PBE+U.
Peak positions follow from Bragg's law for the DFT cell and can differ from measured ones.

Most intense lines, 2θ from 10° to 80°, low angle first:
- hkl 1 -1 0, 13.39°, intensity 650
- hkl 0 0 2, 22.55°, intensity 663
- hkl 0 1 2, 26.32°, intensity 421
- hkl 2 0 0, 26.92°, intensity 1000
- hkl 2 -2 0, 27.03°, intensity 494
- hkl 1 1 -2, 32.65°, intensity 253
- hkl 0 2 -2, 35.43°, intensity 725
- hkl 4 -2 0, 47.70°, intensity 257
- hkl -4 2 2, 53.37°, intensity 205
- hkl 2 0 4, 54.17°, intensity 428

Crystal structure
a = 7.626 Å, b = 7.628 Å, c = 7.885 Å
α = 90.00°, β = 90.00°, γ = 119.73°
Space group P1 (No. 1)
Asymmetric unit:
K  0.000  0.000  0.000 [1 per cell]
K  0.003  0.006  0.498 [1 per cell]
Li  0.302  0.701  0.480 [1 per cell]
Li  0.598  0.302  0.981 [1 per cell]
W  0.001  0.499  0.733 [1 per cell]
W  0.001  0.500  0.229 [1 per cell]
W  0.503  0.506  0.233 [1 per cell]
W  0.505  0.506  0.729 [1 per cell]
W  0.507  0.002  0.731 [1 per cell]
W  0.508  0.003  0.231 [1 per cell]
O  0.002  0.499  0.481 [1 per cell]
O  0.009  0.507  0.981 [1 per cell]
O  0.208  0.423  0.725 [1 per cell]
O  0.210  0.426  0.238 [1 per cell]
O  0.211  0.783  0.245 [1 per cell]
O  0.213  0.783  0.715 [1 per cell]
O  0.430  0.207  0.747 [1 per cell]
O  0.430  0.224  0.213 [1 per cell]
O  0.504  0.498  0.488 [1 per cell]
O  0.505  0.000  0.988 [1 per cell]
O  0.505  0.507  0.973 [1 per cell]
O  0.506  0.006  0.473 [1 per cell]
O  0.590  0.788  0.240 [1 per cell]
O  0.590  0.804  0.721 [1 per cell]
O  0.800  0.580  0.224 [1 per cell]
O  0.802  0.219  0.739 [1 per cell]
O  0.803  0.583  0.737 [1 per cell]
O  0.805  0.219  0.223 [1 per cell]

---

Record 2
# MgNbV3O10
Computed X-ray powder pattern, Cu Kα (weighted mean of Kα1 and Kα2). Input: a crystal structure in the Materials Project, relaxed with PBE+U.
Peak positions follow from Bragg's law for the DFT cell and can differ from measured ones.

Most intense lines, 2θ from 10° to 80°, low angle first:
- hkl 0 0 1, 16.35°, intensity 959
- hkl 1 0 1, 21.16°, intensity 548
- hkl 2 0 0, 26.87°, intensity 1000
- hkl 2 0 1, 31.62°, intensity 555
- hkl 2 2 0, 38.36°, intensity 353
- hkl 2 2 1, 41.96°, intensity 186
- hkl 2 2 2, 51.52°, intensity 186
- hkl 4 0 0, 55.38°, intensity 415
- hkl 3 1 3, 68.52°, intensity 136
- hkl 1 1 4, 72.62°, intensity 157

Crystal structure
a = 6.635 Å, b = 6.635 Å, c = 5.422 Å
α = 90.00°, β = 90.00°, γ = 90.00°
Space group P-4m2 (No. 115)
Asymmetric unit:
Mg  0.000  0.000  0.000 [1 per cell]
Nb  0.500  0.500  0.500 [1 per cell]
V  0.000  0.000  0.500 [1 per cell]
V  0.000  0.500  0.631 [2 per cell]
O  0.000  0.207  0.722 [4 per cell]
O  0.000  0.500  0.330 [2 per cell]
O  0.277  0.500  0.711 [4 per cell]

---

Record 3
# FeH6C2O6
Computed X-ray powder pattern, Cu Kα (weighted mean of Kα1 and Kα2). Input: a crystal structure in the Materials Project, relaxed with PBE+U.
Peak positions follow from Bragg's law for the DFT cell and can differ from measured ones.

Most intense lines, 2θ from 10° to 80°, low angle first:
- hkl 1 1 -1, 17.74°, intensity 1000
- hkl 0 0 2, 18.79°, intensity 454
- hkl 1 1 1, 19.09°, intensity 663
- hkl 2 0 0, 20.18°, intensity 351
- hkl 1 1 2, 25.67°, intensity 265
- hkl 0 2 1, 26.33°, intensity 153
- hkl 0 2 2, 31.09°, intensity 165
- hkl 3 1 -1, 33.17°, intensity 302
- hkl 1 1 3, 33.80°, intensity 351
- hkl 1 3 1, 40.18°, intensity 183

Crystal structure
a = 8.873 Å, b = 7.253 Å, c = 9.527 Å
α = 90.00°, β = 97.48°, γ = 90.00°
Space group P2_1/c (No. 14)
Asymmetric unit:
Fe  0.000  0.000  0.000 [2 per cell]
Fe  0.500  0.000  0.500 [2 per cell]
H  0.033  0.147  0.279 [4 per cell]
H  0.172  0.026  0.610 [4 per cell]
H  0.198  0.098  0.237 [4 per cell]
H  0.266  0.606  0.454 [4 per cell]
H  0.291  0.109  0.990 [4 per cell]
H  0.433  0.711  0.726 [4 per cell]
C  0.174  0.615  0.067 [4 per cell]
C  0.461  0.223  0.224 [4 per cell]
O  0.063  0.720  0.084 [4 per cell]
O  0.089  0.109  0.199 [4 per cell]
O  0.224  0.020  0.933 [4 per cell]
O  0.288  0.661  0.005 [4 per cell]
O  0.398  0.105  0.294 [4 per cell]
O  0.411  0.229  0.598 [4 per cell]

---

Record 4
# Li2VOF4
Computed X-ray powder pattern, Cu Kα (weighted mean of Kα1 and Kα2). Input: a crystal structure in the Materials Project, relaxed with PBE+U.
Peak positions follow from Bragg's law for the DFT cell and can differ from measured ones.

Most intense lines, 2θ from 10° to 80°, low angle first:
- hkl 0 0 2, 17.35°, intensity 923
- hkl 0 1 1, 19.77°, intensity 1000
- hkl 1 0 0, 25.71°, intensity 786
- hkl 1 1 -1, 27.18°, intensity 611
- hkl 0 1 3, 31.78°, intensity 374
- hkl 0 2 1, 37.06°, intensity 242
- hkl 0 1 -4, 39.61°, intensity 194
- hkl 0 2 2, 40.17°, intensity 227
- hkl 0 1 5, 48.08°, intensity 244
- hkl 2 1 0, 49.34°, intensity 314

Crystal structure
a = 3.694 Å, b = 5.328 Å, c = 10.224 Å
α = 89.90°, β = 89.65°, γ = 69.72°
Space group P1 (No. 1)
Asymmetric unit:
Li  0.000  0.000  0.000 [1 per cell]
Li  0.045  0.906  0.671 [1 per cell]
Li  0.676  0.636  0.171 [1 per cell]
Li  0.728  0.542  0.500 [1 per cell]
V  0.683  0.547  0.860 [1 per cell]
V  0.957  0.994  0.361 [1 per cell]
O  0.202  0.588  0.852 [1 per cell]
O  0.517  0.954  0.351 [1 per cell]
F  0.090  0.816  0.182 [1 per cell]
F  0.169  0.662  0.468 [1 per cell]
F  0.560  0.881  0.968 [1 per cell]
F  0.637  0.726  0.682 [1 per cell]
F  0.806  0.379  0.029 [1 per cell]
F  0.830  0.349  0.296 [1 per cell]
F  0.909  0.163  0.529 [1 per cell]
F  0.913  0.192  0.796 [1 per cell]

---

Record 5
# WF5
Computed X-ray powder pattern, Cu Kα (weighted mean of Kα1 and Kα2). Input: a crystal structure in the Materials Project, relaxed with PBE+U.
Peak positions follow from Bragg's law for the DFT cell and can differ from measured ones.

Most intense lines, 2θ from 10° to 80°, low angle first:
- hkl 1 1 0, 17.55°, intensity 1000
- hkl 2 0 0, 21.45°, intensity 339
- hkl 2 0 -2, 24.60°, intensity 230
- hkl 0 0 2, 24.78°, intensity 232
- hkl 1 1 -2, 26.28°, intensity 386
- hkl 0 2 0, 27.99°, intensity 169
- hkl 3 1 0, 35.42°, intensity 141
- hkl 1 3 0, 43.99°, intensity 118
- hkl 1 3 -2, 48.49°, intensity 104
- hkl 1 1 -4, 49.04°, intensity 108

Crystal structure
a = 9.236 Å, b = 6.375 Å, c = 8.011 Å
α = 90.00°, β = 116.22°, γ = 90.00°
Space group C2/c (No. 15)
Asymmetric unit:
W  0.000  0.000  0.000 [4 per cell]
F  0.000  0.073  0.250 [4 per cell]
F  0.015  0.290  0.954 [8 per cell]
F  0.229  0.014  0.617 [8 per cell]

---

Record 6
# MgPb2W2O8
Computed X-ray powder pattern, Cu Kα (weighted mean of Kα1 and Kα2). Input: a crystal structure in the Materials Project, relaxed with PBE+U.
Peak positions follow from Bragg's law for the DFT cell and can differ from measured ones.

Most intense lines, 2θ from 10° to 80°, low angle first:
- hkl 0 0 1, 11.87°, intensity 1000
- hkl 0 0 2, 23.90°, intensity 320
- hkl 1 -1 1, 24.95°, intensity 685
- hkl -1 1 1, 25.07°, intensity 688
- hkl 1 1 0, 26.94°, intensity 510
- hkl 1 1 -2, 27.62°, intensity 454
- hkl 0 2 -1, 32.74°, intensity 511
- hkl 2 0 -1, 33.43°, intensity 349
- hkl 1 1 1, 33.91°, intensity 292
- hkl 1 1 -3, 35.00°, intensity 272

Crystal structure
a = 5.393 Å, b = 5.502 Å, c = 8.197 Å
α = 106.55°, β = 105.71°, γ = 96.15°
Space group P1 (No. 1)
Asymmetric unit:
Mg  0.000  0.000  0.000 [1 per cell]
Pb  0.344  0.355  0.698 [1 per cell]
Pb  0.624  0.138  0.283 [1 per cell]
W  0.161  0.664  0.332 [1 per cell]
W  0.794  0.804  0.603 [1 per cell]
O  0.024  0.548  0.530 [1 per cell]
O  0.076  0.070  0.792 [1 per cell]
O  0.201  0.828  0.157 [1 per cell]
O  0.477  0.510  0.424 [1 per cell]
O  0.495  0.985  0.520 [1 per cell]
O  0.705  0.744  0.804 [1 per cell]
O  0.933  0.909  0.410 [1 per cell]
O  0.987  0.340  0.161 [1 per cell]

---

Record 7
# Sr2CoGe2O7
Computed X-ray powder pattern, Cu Kα (weighted mean of Kα1 and Kα2). Input: a crystal structure in the Materials Project, relaxed with PBE+U.
Peak positions follow from Bragg's law for the DFT cell and can differ from measured ones.

Most intense lines, 2θ from 10° to 80°, low angle first:
- hkl 1 1 1, 22.43°, intensity 81
- hkl 2 0 1, 27.19°, intensity 159
- hkl 2 1 1, 29.30°, intensity 1000
- hkl 0 0 2, 33.21°, intensity 103
- hkl 3 1 0, 34.32°, intensity 247
- hkl 3 3 0, 46.64°, intensity 89
- hkl 3 1 2, 48.49°, intensity 354
- hkl 2 1 3, 56.95°, intensity 105
- hkl 5 2 1, 62.99°, intensity 142
- hkl 5 4 1, 75.82°, intensity 58

Crystal structure
a = 8.262 Å, b = 8.262 Å, c = 5.395 Å
α = 90.00°, β = 90.00°, γ = 90.00°
Space group P-42_1m (No. 113)
Asymmetric unit:
Sr  0.166  0.334  0.007 [4 per cell]
Co  0.000  0.000  0.500 [2 per cell]
Ge  0.143  0.643  0.549 [4 per cell]
O  0.000  0.500  0.684 [2 per cell]
O  0.082  0.821  0.708 [8 per cell]
O  0.139  0.639  0.226 [4 per cell]